# 1
Theoretical XRD peak list of Dy2Al9Ni3 for Cu Kα (λ = 1.5418 Å), from the GGA-PBE geometry in Alexandria.
Kinematic intensities with the Lorentz-polarization factor, no thermal factor.

Cell and atoms:
Lattice parameters (Å, degrees): 7.4691 7.4691 10.2619 111.39 111.39 59.68
Positions (direct):
1 Dy 0.0856 0.2534 0.2501
2 Dy 0.2534 0.0856 0.7501
3 Dy 0.7466 0.9144 0.2499
4 Dy 0.9144 0.7466 0.7499
5 Al 0.0211 0.8589 0.0706
6 Al 0.1411 0.9789 0.4294
7 Al 0.1893 0.3567 0.5689
8 Al 0.2070 0.5816 0.2520
9 Al 0.3141 0.4847 0.9502
10 Al 0.3567 0.1893 0.0689
11 Al 0.3675 0.6325 0.7500
12 Al 0.4184 0.7930 0.2480
13 Al 0.4847 0.3141 0.4502
14 Al 0.5153 0.6859 0.5498
15 Al 0.5816 0.2070 0.7520
16 Al 0.6325 0.3675 0.2500
17 Al 0.6433 0.8107 0.9311
18 Al 0.6859 0.5153 0.0498
19 Al 0.7930 0.4184 0.7480
20 Al 0.8107 0.6433 0.4311
21 Al 0.8589 0.0211 0.5706
22 Al 0.9789 0.1411 0.9294
23 Ni 0.0000 0.5000 0.0000
24 Ni 0.1594 0.6705 0.4995
25 Ni 0.3295 0.8406 0.0005
26 Ni 0.5000 0.0000 0.5000
27 Ni 0.6705 0.1594 0.9995
28 Ni 0.8406 0.3295 0.5005

Largest 12 diffraction maxima, by angle, 15° ≤ 2θ ≤ 90°:
- d = 5.871 Å, rel. 19.9
- d = 3.466 Å, rel. 55.8
- d = 3.452 Å, rel. 28.6
- d = 2.910 Å, rel. 67.2
- d = 2.385 Å, rel. 100.0
- d = 2.328 Å, rel. 31.8
- d = 2.160 Å, rel. 32.1
- d = 2.149 Å, rel. 63.4
- d = 1.733 Å, rel. 16.5
- d = 1.600 Å, rel. 14.2
- d = 1.583 Å, rel. 13.5
- d = 1.579 Å, rel. 27.2

# 2
Theoretical XRD peak list of K6VP4 for Cu Kα (λ = 1.5418 Å), from the GGA-PBE geometry in Alexandria.
Kinematic intensities with the Lorentz-polarization factor, no thermal factor.

Cell and atoms:
Lattice parameters (Å, degrees): 10.0459 10.0459 8.0218 90.00 90.00 120.00
Positions (direct):
1 K 0.0635 0.5317 0.0000
2 K 0.1446 0.2892 0.3180
3 K 0.1446 0.8554 0.3180
4 K 0.2892 0.1446 0.8180
5 K 0.4683 0.5317 0.0000
6 K 0.4683 0.9365 0.0000
7 K 0.5317 0.0635 0.5000
8 K 0.5317 0.4683 0.5000
9 K 0.7108 0.8554 0.3180
10 K 0.8554 0.1446 0.8180
11 K 0.8554 0.7108 0.8180
12 K 0.9365 0.4683 0.5000
13 V 0.3333 0.6667 0.6101
14 V 0.6667 0.3333 0.1101
15 P 0.2072 0.4144 0.6987
16 P 0.2072 0.7928 0.6987
17 P 0.3333 0.6667 0.3262
18 P 0.4144 0.2072 0.1987
19 P 0.5856 0.7928 0.6987
20 P 0.6667 0.3333 0.8262
21 P 0.7928 0.2072 0.1987
22 P 0.7928 0.5856 0.1987

Largest 12 diffraction maxima, by angle, 15° ≤ 2θ ≤ 90°:
- d = 5.897 Å, rel. 32.6
- d = 3.642 Å, rel. 26.3
- d = 3.043 Å, rel. 100.0
- d = 2.949 Å, rel. 81.8
- d = 2.727 Å, rel. 47.8
- d = 2.556 Å, rel. 34.4
- d = 2.543 Å, rel. 15.9
- d = 2.511 Å, rel. 64.5
- d = 2.278 Å, rel. 12.8
- d = 1.787 Å, rel. 15.9
- d = 1.700 Å, rel. 18.6
- d = 1.599 Å, rel. 26.0

# 3
Theoretical XRD peak list of CsY5S8 for Cu Kα (λ = 1.5418 Å), from the GGA-PBE geometry in Alexandria.
Kinematic intensities with the Lorentz-polarization factor, no thermal factor.

Cell and atoms:
Lattice parameters (Å, degrees): 10.4368 10.4368 9.8242 104.25 104.25 22.17
Positions (direct):
1 Cs 0.0000 0.0000 0.0000
2 Y 0.1564 0.1564 0.4495
3 Y 0.2032 0.2032 0.8388
4 Y 0.5000 0.5000 0.5000
5 Y 0.7968 0.7968 0.1612
6 Y 0.8436 0.8436 0.5505
7 S 0.0793 0.0793 0.6422
8 S 0.2712 0.2712 0.3550
9 S 0.3291 0.3291 0.0103
10 S 0.4184 0.4184 0.6854
11 S 0.5816 0.5816 0.3146
12 S 0.6709 0.6709 0.9897
13 S 0.7288 0.7288 0.6450
14 S 0.9207 0.9207 0.3578

Largest 12 diffraction maxima, by angle, 15° ≤ 2θ ≤ 90°:
- d = 4.936 Å, rel. 61.6
- d = 4.755 Å, rel. 38.9
- d = 3.964 Å, rel. 27.7
- d = 3.925 Å, rel. 52.1
- d = 3.370 Å, rel. 41.1
- d = 3.102 Å, rel. 100.0
- d = 2.959 Å, rel. 36.0
- d = 2.582 Å, rel. 29.5
- d = 2.496 Å, rel. 60.2
- d = 2.190 Å, rel. 45.9
- d = 2.006 Å, rel. 36.1
- d = 1.980 Å, rel. 64.0